The following is a simulated powder X-ray diffraction pattern of Li5Cu4P6. It was derived from a DFT-relaxed cell (GGA-PBE, Alexandria), using a wavelength of 1.5418 Å.

Main lines, in order of rising 2θ (2θ = 5–70°):
6.330 Å, intensity 85.8; 4.358 Å, intensity 56.3; 3.589 Å, intensity 55.0; 3.548 Å, intensity 48.9; 2.390 Å, intensity 100.0; 1.942 Å, intensity 37.6; 1.907 Å, intensity 35.5; 1.899 Å, intensity 32.6; 1.879 Å, intensity 35.6; 1.733 Å, intensity 54.4

Crystal structure
```
Li5Cu4P6
1.0
-1.9422 4.3576 6.3296
1.9422 -4.3576 6.3296
1.9422 4.3576 -6.3296
Li Cu P
5 4 6
direct
0.0000 0.0000 0.0000
0.2780 0.2780 0.0000
0.3264 0.5000 0.8264
0.6736 0.5000 0.1736
0.7220 0.7220 0.0000
0.0946 0.8276 0.2669
0.4393 0.1724 0.2669
0.5607 0.8276 0.7331
0.9054 0.1724 0.7331
0.0241 0.6485 0.3756
0.2728 0.6485 0.6244
0.4144 0.9144 0.5000
0.5856 0.0856 0.5000
0.7272 0.3515 0.3756
0.9759 0.3515 0.6244
```